Calculated powder X-ray diffraction pattern of Nd4Te2Rh for Cu Kα (λ = 1.5418 Å), from a DFT-relaxed cell (PBE, Alexandria).
Kinematic intensities with the Lorentz-polarization factor, no thermal factor.

Most intense lines, 2θ = 10–90°, by angle:
2theta, intensity, hkl
13.3, 64.4, 1 0 -1
24.8, 27.9, 1 1 0
25.4, 48.0, 1 1 -1
29.4, 43.3, 1 1 1
30.8, 46.8, 1 1 -2
31.0, 75.7, 2 0 1
34.6, 100.0, 2 1 -2
37.4, 40.5, 1 1 2
40.9, 36.9, 3 1 -1
41.6, 35.1, 0 1 3
43.9, 33.4, 0 2 0
54.7, 30.2, 2 2 1

Structural model:
Cell lengths 7.841, 4.126, 8.262 Å; angles 90.00, 112.06, 90.00 degrees
Space group P2/m (No. 10)
Inequivalent atoms, fractional coordinates:
Nd 0.082 0.000 0.310
Nd 0.366 0.500 0.762
Te 0.287 0.000 0.040
Rh 0.000 0.500 0.500

Calculated powder X-ray diffraction pattern of Nd3Te2Rh for Cu Kα (λ = 1.5418 Å), from a DFT-relaxed cell (PBE, Alexandria).
Kinematic intensities with the Lorentz-polarization factor, no thermal factor.

Most intense lines, 2θ = 10–90°, by angle:
2theta, intensity, hkl
28.6, 100.0, 1 1 0
31.3, 14.2, 1 0 5
39.4, 4.5, 1 0 7
40.8, 68.1, 2 0 0
50.6, 21.6, 2 0 6
52.3, 6.7, 2 1 5
58.1, 11.5, 1 0 11
59.1, 9.4, 2 2 0
66.9, 22.0, 3 1 0
73.4, 9.3, 2 1 11
74.4, 15.9, 3 1 6
87.6, 3.7, 3 0 11

Structural model:
Cell lengths 4.421, 4.421, 18.719 Å; angles 90.00, 90.00, 90.00 degrees
Space group I4/mmm (No. 139)
Inequivalent atoms, fractional coordinates:
Nd 0.000 0.000 0.000
Nd 0.000 0.000 0.357
Te 0.000 0.000 0.175
Rh 0.000 0.000 0.500

Calculated powder X-ray diffraction pattern of NdThRh2 for Cu Kα (λ = 1.5418 Å), from a DFT-relaxed cell (PBE, Alexandria).
Kinematic intensities with the Lorentz-polarization factor, no thermal factor.

Most intense lines, 2θ = 10–90°, by angle:
2theta, intensity, hkl
26.2, 14.5, 0 1 1
32.0, 100.0, 1 1 0
32.7, 36.6, 0 0 2
33.7, 10.7, 1 0 1
38.9, 13.9, 0 1 2
39.7, 29.2, 1 1 1
39.8, 29.3, 1 1 -2
41.6, 25.9, 0 2 0
46.9, 18.4, 2 0 -1
53.9, 17.9, 0 2 2
54.6, 12.6, 1 2 1
64.4, 14.2, 2 2 -1

Structural model:
Cell lengths 3.877, 4.341, 5.799 Å; angles 90.00, 109.32, 90.00 degrees
Space group Pm (No. 6)
Inequivalent atoms, fractional coordinates:
Nd 0.000 0.000 0.000
Th 0.725 0.500 0.451
Rh 0.268 0.000 0.537
Rh 0.454 0.500 0.908

Calculated powder X-ray diffraction pattern of Nd12TlRh6 for Cu Kα (λ = 1.5418 Å), from a DFT-relaxed cell (PBE, Alexandria).
Kinematic intensities with the Lorentz-polarization factor, no thermal factor.

Most intense lines, 2θ = 10–90°, by angle:
2theta, intensity, hkl
27.6, 17.1, 3 0 1
30.3, 26.3, 2 2 2
32.8, 100.0, 3 1 2
35.1, 13.3, 4 0 0
37.3, 11.1, 3 3 0
45.3, 25.7, 4 3 1
52.2, 20.1, 5 3 0
53.8, 14.1, 6 0 0
55.4, 28.9, 5 2 3
64.5, 16.3, 5 3 4
79.6, 14.0, 8 2 2
80.9, 15.1, 7 0 5

Structural model:
Cell lengths 10.218, 10.218, 10.218 Å; angles 90.00, 90.00, 90.00 degrees
Space group Im-3 (No. 204)
Inequivalent atoms, fractional coordinates:
Nd 0.000 0.305 0.186
Tl 0.000 0.000 0.000
Rh 0.000 0.131 0.500